Entry 1:
Starting from a GGA-PBE-relaxed structure, the X-ray powder pattern of RbUSeO8 was computed for Cu Kα (λ = 1.5418 Å).
No peak broadening, texture or thermal motion is included.

Atomic structure:
a b c (Å): 8.7173 8.3335 11.9439
angles (deg): 90.00 109.36 90.00
Space group P2_1/c (No. 14)
Inequivalent atoms, fractional coordinates:
Rb: 0.0632 0.0416 0.2981 (multiplicity 4)
U: 0.4302 0.0907 0.7065 (multiplicity 4)
Se: 0.2006 0.7321 0.5392 (multiplicity 4)
O: 0.0632 0.6672 0.5957 (multiplicity 4)
O: 0.1547 0.7102 0.3950 (multiplicity 4)
O: 0.2274 0.5671 0.0709 (multiplicity 4)
O: 0.2599 0.1722 0.7481 (multiplicity 4)
O: 0.3220 0.2253 0.0597 (multiplicity 4)
O: 0.3847 0.6451 0.6084 (multiplicity 4)
O: 0.4148 0.5215 0.8538 (multiplicity 4)
O: 0.4667 0.6511 0.2961 (multiplicity 4)

The 8 most intense peaks (2θ = 10–80°), most intense first:
- 24.08°, I 100, (1 2 -1)
- 22.14°, I 90, (2 0 -2)
- 15.85°, I 86, (1 0 -2)
- 15.73°, I 56, (0 0 2)
- 24.37°, I 56, (1 1 2)
- 10.76°, I 54, (1 0 0)
- 26.61°, I 43, (0 2 2)
- 27.60°, I 42, (2 1 1)

---

Entry 2:
Starting from a GGA-PBE-relaxed structure, the X-ray powder pattern of Rb6Si10O23 was computed for Cu Kα (λ = 1.5418 Å).
No peak broadening, texture or thermal motion is included.

Atomic structure:
a b c (Å): 8.1907 16.5700 9.4749
angles (deg): 90.00 90.00 90.00
Space group Amm2 (No. 38)
Inequivalent atoms, fractional coordinates:
Rb: 0.0000 0.0000 0.0000 (multiplicity 2)
Rb: 0.0000 0.1193 0.6407 (multiplicity 4)
Rb: 0.5000 0.0000 0.9938 (multiplicity 2)
Rb: 0.5000 0.1210 0.6291 (multiplicity 4)
Si: 0.1886 0.1719 0.2669 (multiplicity 8)
Si: 0.3015 0.0000 0.3513 (multiplicity 4)
Si: 0.3092 0.1955 0.9646 (multiplicity 8)
O: 0.0000 0.1828 0.3221 (multiplicity 4)
O: 0.2037 0.2142 0.1121 (multiplicity 8)
O: 0.2326 0.0766 0.2531 (multiplicity 8)
O: 0.2501 0.1212 0.8726 (multiplicity 8)
O: 0.2517 0.0000 0.5127 (multiplicity 4)
O: 0.3048 0.2146 0.3845 (multiplicity 8)
O: 0.5000 0.0000 0.3221 (multiplicity 2)
O: 0.5000 0.1880 0.0220 (multiplicity 4)

The 8 most intense peaks (2θ = 10–80°), most intense first:
- 28.76°, I 100, (0 1 3)
- 28.57°, I 53, (0 5 1)
- 24.26°, I 36, (2 1 1)
- 36.17°, I 34, (2 5 1)
- 36.33°, I 17, (2 1 3)
- 53.53°, I 16, (4 5 1)
- 49.61°, I 14, (2 4 4)
- 44.22°, I 11, (4 0 0)

---

Entry 3:
Starting from a GGA-PBE-relaxed structure, the X-ray powder pattern of Rb2Si2O5 was computed for Cu Kα (λ = 1.5418 Å).
No peak broadening, texture or thermal motion is included.

Atomic structure:
a b c (Å): 10.4220 8.5470 14.8981
angles (deg): 90.00 90.35 90.00
Space group C2/c (No. 15)
Inequivalent atoms, fractional coordinates:
Rb: 0.0788 0.1300 0.0974 (multiplicity 8)
Rb: 0.1697 0.3902 0.5856 (multiplicity 8)
Si: 0.1235 0.1848 0.8142 (multiplicity 8)
Si: 0.1309 0.4297 0.3069 (multiplicity 8)
O: 0.0000 0.1330 0.7500 (multiplicity 4)
O: 0.0000 0.3785 0.2500 (multiplicity 4)
O: 0.1141 0.1150 0.9127 (multiplicity 8)
O: 0.1339 0.3773 0.8100 (multiplicity 8)
O: 0.1378 0.3495 0.4029 (multiplicity 8)
O: 0.2486 0.3807 0.2388 (multiplicity 8)

The 8 most intense peaks (2θ = 10–80°), most intense first:
- 27.66°, I 100, (2 2 1)
- 27.52°, I 66, (0 2 3)
- 29.57°, I 20, (2 0 4)
- 28.40°, I 18, (3 1 1)
- 42.29°, I 17, (0 4 0)
- 29.39°, I 15, (2 0 -4)
- 40.86°, I 15, (2 2 5)
- 36.18°, I 13, (0 0 6)